For LaFeMoO6, a GGA+U-relaxed structure gives the calculated powder diffractogram in this record (Cu Ka).
Lines closer than 0.1° are merged.

Structural model:
a b c (Å): 5.493 5.580 9.543
angles (deg): 90.00 125.09 90.00
Positions (direct):
La1 0.000 0.208 0.000
La2 0.000 0.792 0.500
Fe1 0.253 0.255 0.749
Fe2 0.253 0.745 0.249
Mo1 0.756 0.262 0.250
Mo2 0.756 0.738 0.750
O1 0.053 0.241 0.492
O2 0.053 0.759 0.992
O3 0.439 0.261 0.003
O4 0.439 0.739 0.503
O5 0.519 0.028 0.274
O6 0.519 0.972 0.774
O7 0.583 0.468 0.784
O8 0.583 0.532 0.284
O9 0.954 0.012 0.718
O10 0.954 0.988 0.218
O11 0.996 0.462 0.209
O12 0.996 0.538 0.709

Main lines, low angle first (10 to 80 degrees two-theta):
19.55 deg, intensity 52, hkl 0 1 1; 19.76 deg, intensity 55, hkl 1 0 0; 32.08 deg, intensity 23, hkl 0 2 0; 32.39 deg, intensity 100, hkl 1 1 1; 32.60 deg, intensity 24, hkl 2 0 -2; 37.96 deg, intensity 15, hkl 1 2 -2; 38.19 deg, intensity 15, hkl 1 0 2; 38.30 deg, intensity 22, hkl 2 1 -3; 46.39 deg, intensity 33, hkl 2 2 -2; 46.52 deg, intensity 18, hkl 0 0 4; 57.99 deg, intensity 21, hkl 2 0 2; 67.80 deg, intensity 18, hkl 2 2 2